Calculated powder diffraction line list
Compound: GdSiHO4
Radiation: CuKα
Structure: a structure optimized by DFT (PBE)
Kinematic intensities with the Lorentz-polarization factor, no thermal factor.

Cell and atoms:
Lattice parameters (Å, degrees): 4.3419 4.8240 8.5566 90.00 118.25 90.00
Space group Pc (No. 7)
One atom of each set of equivalent atoms:
Gd: 0.0000 0.0826 0.0000
Si: 0.6385 0.4463 0.2297
H: 0.2370 0.3604 0.3531
O: 0.3279 0.3002 0.2645
O: 0.5730 0.2715 0.0524
O: 0.6505 0.2188 0.7180
O: 0.9899 0.3681 0.4181

Top 6 peaks for 10° ≤ 2θ ≤ 90°, by angle:
Position (°2θ)	I (rel.)
21.87	54.4
23.26	53.0
24.06	100.0
29.81	79.4
30.09	91.0
30.45	53.4